Entry 1:
Computed powder XRD pattern
Compound: Sr2NbIrN2O4
Radiation: Cu Kα X-rays
Structure: a structure optimized by DFT (GGA-PBE)
Lines closer than 0.1° are merged.

Principal peaks in the range 2θ = 10–80°, low angle first:
31.58°, rel. 50
31.69°, rel. 100
45.27°, rel. 29
56.30°, rel. 36
56.52°, rel. 19
66.20°, rel. 17

Structural model:
```
Sr2NbIrN2O4
1.0
5.6446 0.0000 0.0000
0.0344 5.6464 0.0000
0.0093 0.0068 8.0170
Sr Nb Ir N O
4 2 2 4 8
Cartesian
0.0000 0.0000 0.0000 Sr
0.1105 5.6292 4.0683 Sr
2.9838 2.8233 0.0230 Sr
3.0726 2.8095 4.1045 Sr
0.2507 2.8543 6.0620 Nb
2.9274 5.6193 2.0487 Nb
0.0963 2.8070 2.0378 Ir
2.8294 0.0133 6.0607 Ir
1.5211 4.2833 6.2318 N
1.5139 1.5207 2.1415 N
1.6166 1.4541 5.9675 N
4.3020 4.1262 1.9577 N
0.1186 3.0726 4.0350 O
1.4210 4.2966 1.7762 O
2.8320 5.4149 4.0593 O
2.9845 0.2181 0.0389 O
4.2820 4.1759 6.1752 O
4.3921 1.3318 2.2795 O
4.4161 1.3125 5.8228 O
5.5759 2.5340 0.0451 O
```

***

Entry 2:
Computed powder XRD pattern
Compound: Sr4Nb3IrN4O8
Radiation: Cu Kα X-rays
Structure: a structure optimized by DFT (GGA-PBE)
Lines closer than 0.1° are merged.

Principal peaks in the range 2θ = 10–80°, low angle first:
31.43°, rel. 100
31.61°, rel. 51
45.31°, rel. 29
55.84°, rel. 20
56.18°, rel. 43
65.60°, rel. 18

Structural model:
```
Sr4Nb3IrN4O8
1.0
5.6607 0.0000 0.0000
0.0000 5.6607 0.0000
0.0000 0.0000 8.0958
Sr Nb Ir N O
4 3 1 4 8
Cartesian
0.0000 2.8304 1.9702 Sr
0.0000 2.8304 6.1256 Sr
2.8304 0.0000 1.9702 Sr
2.8304 0.0000 6.1256 Sr
0.0000 0.0000 0.0000 Nb
0.0000 0.0000 4.0479 Nb
2.8304 2.8304 4.0479 Nb
2.8304 2.8304 0.0000 Ir
0.0000 0.0000 2.0334 N
0.0000 0.0000 6.0624 N
2.8304 2.8304 1.9775 N
2.8304 2.8304 6.1183 N
1.1055 3.9339 4.0479 O
1.1857 1.6446 0.0000 O
1.6446 4.4750 0.0000 O
1.7268 1.1055 4.0479 O
3.9339 4.5552 4.0479 O
4.0161 1.1857 0.0000 O
4.4750 4.0161 0.0000 O
4.5552 1.7268 4.0479 O
```

***

Entry 3:
Computed powder XRD pattern
Compound: Sr2NbIrN2O4
Radiation: Cu Kα X-rays
Structure: a structure optimized by DFT (GGA-PBE)
Lines closer than 0.1° are merged.

Principal peaks in the range 2θ = 10–80°, low angle first:
31.60°, rel. 100
31.79°, rel. 49
45.26°, rel. 29
56.22°, rel. 20
56.35°, rel. 15
56.52°, rel. 19

Structural model:
```
Sr2NbIrN2O4
1.0
5.6624 0.0000 0.0000
-0.0078 5.6722 0.0000
-0.0532 -0.0019 7.9490
Sr Nb Ir N O
4 2 2 4 8
Cartesian
0.0000 0.0000 0.0000 Sr
0.0008 5.6619 3.9901 Sr
2.9233 2.9229 0.0117 Sr
2.9953 2.8766 3.9838 Sr
0.1109 2.8912 1.9763 Nb
2.8176 0.1053 6.0120 Nb
0.1052 2.8091 6.0752 Ir
2.8084 5.6507 1.9276 Ir
0.1024 2.7190 0.0125 N
1.4027 4.3452 1.9169 N
1.5387 1.5524 5.8896 N
2.8904 0.1977 0.0547 N
-0.0150 3.0460 4.0343 O
1.3395 4.3595 6.1182 O
1.5402 1.4629 2.2133 O
2.9077 5.4804 3.9871 O
4.1467 4.1390 1.9001 O
4.1748 4.1416 6.1180 O
4.3769 1.3102 2.1720 O
4.4646 1.2879 5.8469 O
```

***

Entry 4:
Computed powder XRD pattern
Compound: Sr2NbIrN2O4
Radiation: Cu Kα X-rays
Structure: a structure optimized by DFT (GGA-PBE)
Lines closer than 0.1° are merged.

Principal peaks in the range 2θ = 10–80°, low angle first:
22.23°, rel. 16
31.50°, rel. 19
31.66°, rel. 100
45.29°, rel. 23
56.41°, rel. 23
66.14°, rel. 17

Structural model:
```
Sr2NbIrN2O4
1.0
5.6796 0.0000 0.0000
0.0000 5.6478 0.0000
-0.0012 0.0000 7.9778
Sr Nb Ir N O
4 2 2 4 8
Cartesian
1.2974 0.0000 0.0148 Sr
1.3109 5.5802 4.0123 Sr
4.3674 2.7563 3.9655 Sr
4.3810 2.8239 7.9630 Sr
1.5773 2.7888 5.9717 Nb
4.1010 5.6127 2.0061 Nb
1.5094 2.7940 2.0087 Ir
4.1690 5.6179 5.9691 Ir
2.7270 1.3429 2.1206 N
2.8351 4.1524 2.1213 N
2.8433 1.3285 5.8565 N
2.9514 4.1668 5.8572 N
0.0658 4.2840 1.8608 O
0.0824 4.3046 6.1224 O
1.1927 2.8081 3.9672 O
1.5826 2.7898 0.0255 O
4.0958 5.6137 7.9523 O
4.4857 5.6320 4.0106 O
5.5959 1.4807 1.8554 O
5.6126 1.4601 6.1171 O
```

***

Entry 5:
Computed powder XRD pattern
Compound: Sr2NbIrN2O4
Radiation: Cu Kα X-rays
Structure: a structure optimized by DFT (GGA-PBE)
Lines closer than 0.1° are merged.

Principal peaks in the range 2θ = 10–80°, low angle first:
19.24°, rel. 10
22.25°, rel. 13
31.67°, rel. 100
45.36°, rel. 19
56.39°, rel. 30
66.12°, rel. 11

Structural model:
```
Sr2NbIrN2O4
1.0
5.6521 0.0000 0.0000
-0.0048 5.6578 0.0000
-0.0121 -0.0045 7.9761
Sr Nb Ir N O
4 2 2 4 8
Cartesian
0.0000 0.0000 0.0000 Sr
0.0608 5.6358 3.9235 Sr
2.8742 2.9372 7.9658 Sr
3.0039 2.9008 3.9161 Sr
0.0617 2.8592 6.0351 Nb
2.8424 0.1049 1.9631 Nb
0.1310 2.8054 1.9046 Ir
2.8650 0.0753 5.9266 Ir
0.0540 2.7485 7.9306 N
1.5127 1.5058 2.0153 N
2.8600 5.6008 4.0170 N
2.8914 0.1738 7.8327 N
0.0383 3.0626 3.9426 O
1.2084 4.5608 6.0164 O
1.4411 4.2924 1.8360 O
1.7106 1.7307 5.7954 O
4.0448 4.0606 6.0030 O
4.2640 4.2045 1.8537 O
4.4121 1.3777 2.0533 O
4.5285 1.2386 5.7891 O
```

***

Entry 6:
Computed powder XRD pattern
Compound: Sr4NbIr3N4O8
Radiation: Cu Kα X-rays
Structure: a structure optimized by DFT (GGA-PBE)
Lines closer than 0.1° are merged.

Principal peaks in the range 2θ = 10–80°, low angle first:
22.09°, rel. 17
31.44°, rel. 54
31.93°, rel. 100
45.06°, rel. 28
56.29°, rel. 45
57.21°, rel. 20

Structural model:
```
Sr4NbIr3N4O8
1.0
5.6904 0.0000 0.0000
0.0000 5.6904 0.0000
0.0000 0.0000 7.8128
Sr Nb Ir N O
4 1 3 4 8
Cartesian
0.0000 2.8452 1.9506 Sr
0.0000 2.8452 5.8623 Sr
2.8452 0.0000 1.9506 Sr
2.8452 0.0000 5.8623 Sr
0.0000 0.0000 0.0000 Nb
0.0000 0.0000 3.9064 Ir
2.8452 2.8452 0.0000 Ir
2.8452 2.8452 3.9064 Ir
0.0000 0.0000 2.0119 N
0.0000 0.0000 5.8009 N
2.8452 2.8452 1.9690 N
2.8452 2.8452 5.8439 N
1.0504 1.7901 3.9064 O
1.2127 4.0541 0.0000 O
1.6363 1.2127 0.0000 O
1.7901 4.6400 3.9064 O
3.9003 1.0504 3.9064 O
4.0541 4.4777 0.0000 O
4.4777 1.6363 0.0000 O
4.6400 3.9003 3.9064 O
```

***

Entry 7:
Computed powder XRD pattern
Compound: ScIrNO
Radiation: Cu Kα X-rays
Structure: a structure optimized by DFT (GGA-PBE)
Lines closer than 0.1° are merged.

Principal peaks in the range 2θ = 10–80°, low angle first:
11.97°, rel. 100
24.06°, rel. 34
37.59°, rel. 24
40.20°, rel. 27
43.35°, rel. 15
45.68°, rel. 17

Structural model:
```
ScIrNO
1.0
5.3202 0.0000 0.0000
0.0000 7.3963 0.0000
0.0000 0.0000 5.0574
Sc Ir N O
4 4 4 4
Cartesian
0.1688 0.9567 0.0000 Sc
2.4913 0.9567 2.5287 Sc
2.8289 6.4396 0.0000 Sc
5.1514 6.4396 2.5287 Sc
0.4077 3.4656 3.3312 Ir
2.2524 3.4656 0.8026 Ir
3.0678 3.9307 3.3312 Ir
4.9125 3.9307 0.8026 Ir
0.6946 2.4266 1.6054 N
1.9655 2.4266 4.1341 N
3.3547 4.9697 1.6054 N
4.6255 4.9697 4.1341 N
1.3259 7.1506 3.7600 O
1.3342 7.1506 1.2313 O
3.9860 0.2457 3.7600 O
3.9943 0.2457 1.2313 O
```

***

Entry 8:
Computed powder XRD pattern
Compound: Sr3Ir3N5O4
Radiation: Cu Kα X-rays
Structure: a structure optimized by DFT (GGA-PBE)
Lines closer than 0.1° are merged.

Principal peaks in the range 2θ = 10–80°, low angle first:
18.95°, rel. 24
29.57°, rel. 39
30.56°, rel. 100
33.39°, rel. 58
38.45°, rel. 22
51.21°, rel. 16

Structural model:
```
Sr3Ir3N5O4
1.0
5.9694 0.0000 0.0000
0.0000 3.7428 0.0000
-1.1944 0.0000 9.0627
Sr Ir N O
3 3 5 4
Cartesian
0.0000 0.0000 0.0000 Sr
0.8777 0.0000 5.8890 Sr
3.8973 0.0000 3.1737 Sr
0.8407 1.8714 3.0079 Ir
2.9847 1.8714 0.0000 Ir
3.9342 1.8714 6.0548 Ir
0.7683 0.0000 3.1457 N
2.0363 1.8714 1.5966 N
2.9847 0.0000 0.0000 N
2.7387 1.8714 7.4661 N
4.0067 0.0000 5.9170 N
-0.5972 1.8714 4.5313 O
-0.4663 1.8714 7.3517 O
2.3875 1.8714 4.5313 O
5.2413 1.8714 1.7110 O
```

***

Entry 9:
Computed powder XRD pattern
Compound: SrIrNO2
Radiation: Cu Kα X-rays
Structure: a structure optimized by DFT (GGA-PBE)
Lines closer than 0.1° are merged.

Principal peaks in the range 2θ = 10–80°, low angle first:
19.12°, rel. 35
22.02°, rel. 17
31.17°, rel. 100
31.48°, rel. 31
32.20°, rel. 73
44.92°, rel. 37

Structural model:
```
SrIrNO2
1.0
2.8659 -4.7687 0.0000
2.8659 4.7687 0.0000
-0.0160 0.0000 14.1568
Sr Ir N O
6 6 6 12
Cartesian
2.8579 4.6641 7.0784 Sr
2.8682 1.5170 5.0785 Sr
2.8788 1.5165 9.0827 Sr
2.8602 -1.5170 12.1569 Sr
2.8868 -1.5165 2.0043 Sr
2.8659 -4.6641 0.0000 Sr
0.0348 0.0070 10.6167 Ir
0.0428 -0.0070 3.5383 Ir
2.9270 1.7529 12.7743 Ir
2.9510 1.7457 1.3782 Ir
2.9350 -1.7529 5.6959 Ir
2.9430 -1.7457 8.4566 Ir
2.8716 3.1212 11.5039 N
2.8905 3.1053 2.6554 N
4.1916 2.3951 14.1525 N
2.8825 -3.1053 9.7338 N
2.8796 -3.1212 4.4255 N
4.1996 -2.3951 7.0741 N
1.6102 2.5920 0.0039 O
1.2978 0.6671 12.0555 O
1.3385 0.6365 2.1154 O
1.3058 -0.6671 4.9771 O
1.3305 -0.6365 9.1938 O
2.8113 0.2184 14.1511 O
2.8193 -0.2184 7.0727 O
1.6022 -2.5920 7.0823 O
4.2331 0.4903 11.9409 O
4.2913 0.4901 2.1676 O
4.2411 -0.4903 4.8625 O
4.2833 -0.4901 9.2460 O
```

***

Entry 10:
Computed powder XRD pattern
Compound: SrIrNO2
Radiation: Cu Kα X-rays
Structure: a structure optimized by DFT (GGA-PBE)
Lines closer than 0.1° are merged.

Principal peaks in the range 2θ = 10–80°, low angle first:
30.70°, rel. 100
32.05°, rel. 90
32.69°, rel. 87
55.03°, rel. 43
56.27°, rel. 38
58.76°, rel. 33

Structural model:
```
SrIrNO2
1.0
3.7325 0.0000 0.0000
0.0000 4.0334 0.0000
0.0000 0.0000 4.2086
Sr Ir N O
1 1 1 2
Cartesian
0.0000 0.0000 0.0000 Sr
1.8663 2.0167 2.0940 Ir
0.0000 2.0167 2.0856 N
1.8663 0.0000 2.4515 O
1.8663 2.0167 0.0252 O
```

***

Entry 11:
Computed powder XRD pattern
Compound: SrIrNO2
Radiation: Cu Kα X-rays
Structure: a structure optimized by DFT (GGA-PBE)
Lines closer than 0.1° are merged.

Principal peaks in the range 2θ = 10–80°, low angle first:
22.02°, rel. 46
31.14°, rel. 58
31.53°, rel. 56
32.16°, rel. 100
32.46°, rel. 98
44.91°, rel. 56

Structural model:
```
SrIrNO2
1.0
4.7222 -2.8719 0.0000
4.7222 2.8719 0.0000
-3.3520 0.0000 4.5789
Sr Ir N O
2 2 2 4
Cartesian
2.2082 1.4357 3.4342 Sr
3.8842 -1.4357 1.1447 Sr
2.3611 1.4360 0.0000 Ir
0.6851 -1.4360 2.2894 Ir
3.8842 1.4573 1.1447 N
2.2082 -1.4573 3.4342 N
1.3375 0.3398 1.4359 O
-0.3385 -0.3398 3.7253 O
6.4309 0.3398 0.8535 O
4.7549 -0.3398 3.1430 O
```